Record 1
Computed X-ray powder pattern
Compound: CsI
Radiation: CuKα
Structure: a crystal structure in the Materials Project, relaxed with PBE

Cell and atoms:
```
CsI
1.0
5.570 0.000 0.000
0.000 7.910 0.000
0.000 0.000 5.549
Cs I
2 2
Direct
0.250 0.250 0.234
0.750 0.750 0.766
0.250 0.750 0.261
0.750 0.250 0.739
```

Principal peaks in the range 5° ≤ 2θ ≤ 70°, by intensity:
d 2.787, rel. 100; d 3.931, rel. 98; d 3.955, rel. 50; d 1.760, rel. 30; d 2.277, rel. 23; d 2.271, rel. 22; d 1.767, rel. 20; d 2.774, rel. 19; d 1.609, rel. 15; d 1.611, rel. 15; d 1.604, rel. 14; d 1.966, rel. 14

---

Record 2
Computed X-ray powder pattern
Compound: Mg2GeS4
Radiation: CuKα
Structure: a crystal structure in the Materials Project, relaxed with PBE

Cell and atoms:
```
Mg2GeS4
1.0
12.931 0.000 0.000
0.000 7.522 0.000
0.000 0.000 6.060
Mg Ge S
8 4 16
Direct
0.000 0.000 0.000
0.000 0.500 0.000
0.231 0.250 0.497
0.269 0.750 0.997
0.500 0.000 0.500
0.500 0.500 0.500
0.731 0.250 0.003
0.769 0.750 0.503
0.089 0.750 0.414
0.411 0.250 0.914
0.589 0.750 0.086
0.911 0.250 0.586
0.068 0.250 0.745
0.093 0.750 0.779
0.167 0.518 0.249
0.167 0.982 0.249
0.333 0.018 0.749
0.333 0.482 0.749
0.407 0.250 0.279
0.432 0.750 0.245
0.568 0.250 0.755
0.593 0.750 0.721
0.667 0.518 0.251
0.667 0.982 0.251
0.833 0.018 0.751
0.833 0.482 0.751
0.907 0.250 0.221
0.932 0.750 0.255
```

Principal peaks in the range 5° ≤ 2θ ≤ 70°, by intensity:
d 4.903, rel. 100; d 1.715, rel. 83; d 3.182, rel. 82; d 1.870, rel. 75; d 3.102, rel. 74; d 2.865, rel. 56; d 2.216, rel. 44; d 1.880, rel. 41; d 2.746, rel. 40; d 4.719, rel. 37; d 2.852, rel. 34; d 3.761, rel. 28

---

Record 3
Computed X-ray powder pattern
Compound: Li2Ni12P7
Radiation: CuKα
Structure: a crystal structure in the Materials Project, relaxed with PBE

Cell and atoms:
```
Li2Ni12P7
1.0
8.998 0.000 0.000
-4.499 7.793 0.000
0.000 0.000 3.532
Li Ni P
2 12 7
Direct
0.000 0.000 0.000
0.333 0.667 0.500
0.051 0.769 0.500
0.101 0.394 0.000
0.231 0.282 0.500
0.293 0.899 0.000
0.389 0.215 0.000
0.541 0.114 0.500
0.573 0.459 0.500
0.606 0.707 0.000
0.718 0.949 0.500
0.785 0.174 0.000
0.826 0.611 0.000
0.886 0.427 0.500
0.085 0.628 0.000
0.254 0.041 0.500
0.372 0.456 0.000
0.544 0.915 0.000
0.667 0.333 0.000
0.787 0.746 0.500
0.959 0.213 0.500
```

Principal peaks in the range 5° ≤ 2θ ≤ 70°, by intensity:
d 2.262, rel. 100; d 1.844, rel. 41; d 4.499, rel. 36; d 7.793, rel. 30; d 1.766, rel. 23; d 1.788, rel. 23; d 1.701, rel. 21; d 2.093, rel. 16; d 1.706, rel. 14; d 1.948, rel. 11; d 3.217, rel. 7; d 1.897, rel. 6

---

Record 4
Computed X-ray powder pattern
Compound: K2RbDyCl6
Radiation: CuKα
Structure: a crystal structure in the Materials Project, relaxed with PBE

Cell and atoms:
```
K2RbDyCl6
1.0
0.000 5.734 5.734
5.734 0.000 5.734
5.734 5.734 0.000
K Rb Dy Cl
2 1 1 6
Direct
0.250 0.250 0.250
0.750 0.750 0.750
0.000 0.000 0.000
0.500 0.500 0.500
0.270 0.270 0.730
0.270 0.730 0.270
0.270 0.730 0.730
0.730 0.270 0.270
0.730 0.270 0.730
0.730 0.730 0.270
```

Principal peaks in the range 5° ≤ 2θ ≤ 70°, by intensity:
d 4.054, rel. 100; d 5.734, rel. 97; d 2.867, rel. 88; d 2.027, rel. 58; d 2.564, rel. 47; d 2.341, rel. 44; d 6.621, rel. 32; d 1.532, rel. 26; d 1.911, rel. 24; d 1.813, rel. 24; d 1.655, rel. 19; d 1.391, rel. 13

---

Record 5
Computed X-ray powder pattern
Compound: Mg3B
Radiation: CuKα
Structure: a crystal structure in the Materials Project, relaxed with PBE

Cell and atoms:
```
Mg3B
1.0
3.284 0.000 0.000
0.000 4.291 0.000
0.000 0.000 4.923
Mg B
3 1
Direct
0.000 0.000 0.000
0.000 0.500 0.405
0.500 0.000 0.545
0.500 0.500 0.825
```

Principal peaks in the range 5° ≤ 2θ ≤ 70°, by intensity:
d 2.304, rel. 100; d 2.135, rel. 25; d 2.145, rel. 25; d 2.732, rel. 21; d 2.461, rel. 16; d 3.234, rel. 12; d 1.642, rel. 10; d 1.468, rel. 9; d 1.687, rel. 9; d 1.969, rel. 9; d 4.923, rel. 8; d 1.617, rel. 8

---

Record 6
Computed X-ray powder pattern
Compound: LiTbSe2
Radiation: CuKα
Structure: a crystal structure in the Materials Project, relaxed with PBE

Cell and atoms:
```
LiTbSe2
1.0
4.102 0.000 0.000
0.000 4.102 0.000
0.000 0.000 5.595
Li Tb Se
1 1 2
Direct
0.000 0.000 0.000
0.500 0.500 0.500
0.000 0.000 0.500
0.500 0.500 0.000
```

Principal peaks in the range 5° ≤ 2θ ≤ 70°, by intensity:
d 2.901, rel. 100; d 2.014, rel. 70; d 5.595, rel. 55; d 4.102, rel. 53; d 2.798, rel. 45; d 1.654, rel. 37; d 2.051, rel. 37; d 2.575, rel. 32; d 2.311, rel. 24; d 1.926, rel. 14; d 1.534, rel. 13; d 1.450, rel. 12

---

Record 7
Computed X-ray powder pattern
Compound: ZnCuF4
Radiation: CuKα
Structure: a crystal structure in the Materials Project, relaxed with PBE

Cell and atoms:
```
ZnCuF4
1.0
-5.050 2.573 2.591
5.050 -2.573 2.591
5.050 2.573 -2.591
Zn Cu F
2 2 8
Direct
0.000 0.000 0.000
0.000 0.500 0.500
0.504 0.257 0.747
0.509 0.757 0.253
0.129 0.206 0.690
0.129 0.939 0.424
0.498 0.072 0.194
0.498 0.804 0.926
0.515 0.439 0.310
0.515 0.706 0.576
0.878 0.304 0.806
0.878 0.572 0.074
```

Principal peaks in the range 5° ≤ 2θ ≤ 70°, by intensity:
d 2.959, rel. 100; d 1.802, rel. 21; d 1.808, rel. 21; d 1.826, rel. 19; d 1.558, rel. 14; d 1.550, rel. 14; d 1.529, rel. 13; d 2.591, rel. 7; d 1.479, rel. 7; d 2.573, rel. 6; d 2.525, rel. 3; d 2.256, rel. 3

---

Record 8
Computed X-ray powder pattern
Compound: Ba2TlSn2O7
Radiation: CuKα
Structure: a crystal structure in the Materials Project, relaxed with PBE

Cell and atoms:
```
Ba2TlSn2O7
1.0
4.063 0.000 0.000
0.000 4.063 0.000
0.000 0.000 12.724
Ba Tl Sn O
2 1 2 7
Direct
0.000 0.000 0.201
0.000 0.000 0.799
0.500 0.500 0.000
0.500 0.500 0.374
0.500 0.500 0.626
0.000 0.000 0.000
0.000 0.500 0.351
0.000 0.500 0.649
0.500 0.000 0.351
0.500 0.000 0.649
0.500 0.500 0.170
0.500 0.500 0.830
```

Principal peaks in the range 5° ≤ 2θ ≤ 70°, by intensity:
d 2.934, rel. 100; d 2.873, rel. 79; d 3.425, rel. 74; d 1.905, rel. 45; d 2.032, rel. 41; d 1.670, rel. 40; d 2.545, rel. 27; d 1.588, rel. 25; d 12.724, rel. 24; d 1.747, rel. 23; d 1.481, rel. 17; d 4.063, rel. 15

---

Record 9
Computed X-ray powder pattern
Compound: Cu2P8Se3Br2
Radiation: CuKα
Structure: a crystal structure in the Materials Project, relaxed with PBE

Cell and atoms:
```
Cu2P8Se3Br2
1.0
8.955 0.000 0.000
0.000 12.246 0.000
0.000 0.000 13.949
Cu P Se Br
8 32 12 8
Direct
0.011 0.127 0.250
0.011 0.373 0.750
0.206 0.075 0.750
0.206 0.425 0.250
0.794 0.575 0.750
0.794 0.925 0.250
0.989 0.627 0.250
0.989 0.873 0.750
0.090 0.195 0.109
0.090 0.195 0.391
0.090 0.305 0.609
0.090 0.305 0.891
0.202 0.067 0.023
0.202 0.067 0.477
0.202 0.433 0.523
0.202 0.433 0.977
0.253 0.162 0.612
0.253 0.162 0.888
0.253 0.338 0.112
0.253 0.338 0.388
0.474 0.242 0.579
0.474 0.242 0.921
0.474 0.258 0.079
0.474 0.258 0.421
0.526 0.742 0.579
0.526 0.742 0.921
0.526 0.758 0.079
0.526 0.758 0.421
0.747 0.662 0.612
0.747 0.662 0.888
0.747 0.838 0.112
0.747 0.838 0.388
0.798 0.567 0.023
0.798 0.567 0.477
0.798 0.933 0.523
0.798 0.933 0.977
0.910 0.695 0.109
0.910 0.695 0.391
0.910 0.805 0.609
0.910 0.805 0.891
0.085 0.750 0.000
0.085 0.750 0.500
0.420 0.079 0.110
0.420 0.079 0.390
0.420 0.421 0.610
0.420 0.421 0.890
0.580 0.579 0.110
0.580 0.579 0.390
0.580 0.921 0.610
0.580 0.921 0.890
0.915 0.250 0.000
0.915 0.250 0.500
0.079 0.571 0.750
0.079 0.929 0.250
0.267 0.622 0.250
0.267 0.878 0.750
0.733 0.122 0.250
0.733 0.378 0.750
0.921 0.071 0.750
0.921 0.429 0.250
```

Principal peaks in the range 5° ≤ 2θ ≤ 70°, by intensity:
d 2.838, rel. 100; d 3.249, rel. 63; d 3.910, rel. 35; d 4.601, rel. 35; d 1.642, rel. 34; d 2.325, rel. 31; d 3.141, rel. 31; d 2.803, rel. 28; d 7.228, rel. 27; d 2.281, rel. 26; d 5.502, rel. 26; d 1.664, rel. 25

---

Record 10
Computed X-ray powder pattern
Compound: Rb3HSe2O8
Radiation: CuKα
Structure: a crystal structure in the Materials Project, relaxed with PBE

Cell and atoms:
```
Rb3HSe2O8
1.0
7.942 -3.118 0.000
7.942 3.118 0.000
-2.393 0.000 10.418
Rb H Se O
6 2 4 16
Direct
0.079 0.537 0.348
0.247 0.753 0.750
0.463 0.921 0.152
0.537 0.079 0.848
0.753 0.247 0.250
0.921 0.463 0.652
0.000 0.000 0.000
0.000 0.000 0.500
0.106 0.662 0.037
0.338 0.894 0.463
0.662 0.106 0.537
0.894 0.338 0.963
0.086 0.604 0.879
0.144 0.170 0.900
0.162 0.825 0.056
0.170 0.144 0.400
0.175 0.838 0.444
0.324 0.425 0.113
0.396 0.914 0.621
0.425 0.324 0.613
0.575 0.676 0.387
0.604 0.086 0.379
0.676 0.575 0.887
0.825 0.162 0.556
0.830 0.856 0.600
0.838 0.175 0.944
0.856 0.830 0.100
0.914 0.396 0.121
```

Principal peaks in the range 5° ≤ 2θ ≤ 70°, by intensity:
d 3.513, rel. 100; d 3.094, rel. 52; d 2.329, rel. 24; d 3.118, rel. 24; d 2.317, rel. 15; d 2.132, rel. 14; d 1.547, rel. 10; d 1.860, rel. 9; d 1.854, rel. 8; d 1.868, rel. 8; d 1.795, rel. 7; d 1.384, rel. 7

---

Record 11
Computed X-ray powder pattern
Compound: K2LiAlF6
Radiation: CuKα
Structure: a crystal structure in the Materials Project, relaxed with PBE

Cell and atoms:
```
K2LiAlF6
1.0
2.858 1.650 9.342
-2.858 1.650 9.342
0.000 -3.300 9.342
K Li Al F
4 2 2 12
Direct
0.128 0.128 0.128
0.280 0.280 0.280
0.720 0.720 0.720
0.872 0.872 0.872
0.403 0.403 0.403
0.597 0.597 0.597
0.000 0.000 0.000
0.500 0.500 0.500
0.165 0.609 0.609
0.190 0.190 0.732
0.190 0.732 0.190
0.268 0.810 0.810
0.391 0.391 0.835
0.391 0.835 0.391
0.609 0.165 0.609
0.609 0.609 0.165
0.732 0.190 0.190
0.810 0.268 0.810
0.810 0.810 0.268
0.835 0.391 0.391
```

Principal peaks in the range 5° ≤ 2θ ≤ 70°, by intensity:
d 2.105, rel. 100; d 2.264, rel. 95; d 2.858, rel. 85; d 1.429, rel. 40; d 2.336, rel. 39; d 3.113, rel. 28; d 1.650, rel. 24; d 2.021, rel. 23; d 4.043, rel. 22; d 4.668, rel. 22; d 1.556, rel. 21; d 2.437, rel. 21

---

What did the sixth record say?
Computed X-ray powder pattern
Compound: LiTbSe2
Radiation: CuKα
Structure: a crystal structure in the Materials Project, relaxed with PBE

Cell and atoms:
```
LiTbSe2
1.0
4.102 0.000 0.000
0.000 4.102 0.000
0.000 0.000 5.595
Li Tb Se
1 1 2
Direct
0.000 0.000 0.000
0.500 0.500 0.500
0.000 0.000 0.500
0.500 0.500 0.000
```

Principal peaks in the range 5° ≤ 2θ ≤ 70°, by intensity:
d 2.901, rel. 100; d 2.014, rel. 70; d 5.595, rel. 55; d 4.102, rel. 53; d 2.798, rel. 45; d 1.654, rel. 37; d 2.051, rel. 37; d 2.575, rel. 32; d 2.311, rel. 24; d 1.926, rel. 14; d 1.534, rel. 13; d 1.450, rel. 12